Record 1
In2GaBr2: theoretical XRD peak list (a wavelength of 1.5418 Å), based on a cell relaxed with PBE.
Kinematic intensities with the Lorentz-polarization factor, no thermal factor.

```
10
Lattice="10.594 -2.094 0.000 10.594 2.094 0.000 -1.482 0.000 7.214" Properties=species:S:1:pos:R:3 pbc="T T T"
In 0.000 0.000 0.000
In 5.538 0.000 0.574
In 11.021 0.000 2.309
In 16.530 0.000 3.595
Ga 0.891 0.000 4.325
Ga 10.473 0.000 5.697
Br 3.428 0.000 4.774
Br 8.278 0.000 3.594
Br 13.766 0.000 0.666
Br 16.937 0.000 6.620
```

Top 6 peaks for 15 to 90 degrees two-theta, low angle first:
26.60°, rel. 100
28.96°, rel. 60
32.38°, rel. 62
34.30°, rel. 61
36.50°, rel. 65
37.16°, rel. 67

=====

Record 2
Sm3Ga2Co: theoretical XRD peak list (a wavelength of 1.5418 Å), based on a cell relaxed with PBE.
Kinematic intensities with the Lorentz-polarization factor, no thermal factor.

```
24
Lattice="11.986 0.000 0.000 0.000 4.122 0.000 0.000 0.000 11.709" Properties=species:S:1:pos:R:3 pbc="T T T"
Sm 0.549 1.030 1.501
Sm 1.390 3.091 6.471
Sm 2.778 1.030 9.305
Sm 3.215 3.091 3.450
Sm 4.603 1.030 0.616
Sm 5.444 3.091 7.356
Sm 6.542 1.030 4.353
Sm 7.383 3.091 11.093
Sm 8.770 1.030 8.259
Sm 9.208 3.091 2.404
Sm 10.596 1.030 5.238
Sm 11.437 3.091 10.208
Ga 0.195 3.091 3.647
Ga 2.325 3.091 11.680
Ga 3.668 1.030 5.825
Ga 5.798 1.030 9.502
Ga 6.188 3.091 2.208
Ga 8.318 3.091 5.884
Ga 9.661 1.030 0.030
Ga 11.791 1.030 8.062
Co 1.562 1.030 4.446
Co 4.431 3.091 10.300
Co 7.555 1.030 1.409
Co 10.424 3.091 7.264
```

Top 6 peaks for 15 to 90 degrees two-theta, low angle first:
27.34°, rel. 48
30.43°, rel. 45
31.57°, rel. 100
34.83°, rel. 70
37.91°, rel. 42
43.94°, rel. 53

=====

Record 3
Tm3Ga4Cu4: theoretical XRD peak list (a wavelength of 1.5418 Å), based on a cell relaxed with PBE.
Kinematic intensities with the Lorentz-polarization factor, no thermal factor.

```
11
Lattice="13.322 -1.817 0.000 13.322 1.817 0.000 -0.642 0.000 4.098" Properties=species:S:1:pos:R:3 pbc="T T T"
Tm 0.000 0.000 0.000
Tm 3.477 0.000 2.648
Tm 22.526 0.000 1.450
Ga 6.631 0.000 1.046
Ga 10.197 0.000 3.707
Ga 15.806 0.000 0.391
Ga 19.372 0.000 3.052
Cu 7.780 0.000 3.326
Cu 11.794 0.000 1.856
Cu 14.209 0.000 2.242
Cu 18.222 0.000 0.772
```

Top 6 peaks for 15 to 90 degrees two-theta, low angle first:
34.31°, rel. 50
35.56°, rel. 100
43.66°, rel. 65
50.20°, rel. 19
56.66°, rel. 23
68.68°, rel. 34

=====

Record 4
SmY3Er2: theoretical XRD peak list (a wavelength of 1.5418 Å), based on a cell relaxed with PBE.
Kinematic intensities with the Lorentz-polarization factor, no thermal factor.

```
12
Lattice="8.722 -3.561 0.000 8.722 3.561 0.000 -0.014 0.000 6.158" Properties=species:S:1:pos:R:3 pbc="T T T"
Sm 8.712 2.666 4.618
Sm 8.719 -2.666 1.539
Y 2.913 0.893 5.641
Y 2.920 -0.893 2.562
Y 8.719 0.886 1.539
Y 8.712 -0.886 4.618
Y 14.510 0.893 3.596
Y 14.517 -0.893 0.517
Er 5.796 0.887 3.588
Er 5.803 -0.887 0.509
Er 11.627 0.887 5.649
Er 11.634 -0.887 2.570
```

Top 6 peaks for 15 to 90 degrees two-theta, low angle first:
30.77°, rel. 100
35.68°, rel. 50
51.35°, rel. 35
61.03°, rel. 28
61.14°, rel. 14
64.09°, rel. 12